1.
The following is a simulated PXRD pattern of Cs5As2Se6. It was derived from a structure optimized by DFT (GGA-PBE), using Cu Kα (weighted mean of Kα1 and Kα2).
Intensities are scaled so that the largest is 100.

Peak list (12 most intense, 2θ = 10–90°, by intensity)
| 2θ/deg | intensity | (hkl) |
| --- | --- | --- |
| 26.64 | 100 | 1 1 -4 |
| 25.65 | 53 | 1 3 -2 |
| 26.39 | 50 | 1 1 2 |
| 29.63 | 46 | 1 4 -1 |
| 33.94 | 30 | 2 0 -2 |
| 27.56 | 22 | 0 4 2 |
| 21.67 | 22 | 1 2 0 |
| 31.26 | 19 | 0 4 3 |
| 25.11 | 16 | 0 4 1 |
| 43.64 | 16 | 0 7 1 |
| 28.65 | 14 | 1 2 -4 |
| 31.60 | 14 | 1 1 3 |

Atomic structure:
abc: 5.283 14.687 14.642
angles: 90.00 110.65 90.00
Space group P2_1/c (No. 14)
One atom of each set of equivalent atoms:
Cs  0.000  0.000  0.000 x2
Cs  0.058  0.068  0.310 x4
Cs  0.243  0.720  0.993 x4
As  0.484  0.181  0.724 x4
Se  0.023  0.667  0.699 x4
Se  0.345  0.075  0.592 x4
Se  0.411  0.169  0.153 x4

***

2.
The following is a simulated PXRD pattern of Cs2SnAs2Se9. It was derived from a structure optimized by DFT (GGA-PBE), using Cu Kα (weighted mean of Kα1 and Kα2).
Intensities are scaled so that the largest is 100.

Peak list (12 most intense, 2θ = 10–90°, by intensity)
| 2θ/deg | intensity | (hkl) |
| --- | --- | --- |
| 26.32 | 100 | 0 2 2 |
| 28.22 | 53 | 2 2 0 |
| 33.22 | 47 | 1 6 -1 |
| 14.06 | 42 | 1 1 -1 |
| 28.53 | 33 | 1 5 -1 |
| 13.07 | 29 | 1 0 0 |
| 26.49 | 27 | 2 0 -2 |
| 33.48 | 27 | 2 4 -2 |
| 30.44 | 21 | 2 3 0 |
| 46.67 | 20 | 1 8 1 |
| 26.97 | 15 | 2 1 -2 |
| 23.39 | 15 | 2 0 -1 |

Atomic structure:
abc: 7.606 17.657 8.234
angles: 90.00 117.06 90.00
Space group P2_1 (No. 4)
One atom of each set of equivalent atoms:
Cs  0.051  0.000  0.029 x2
Cs  0.303  0.782  0.725 x2
Sn  0.344  0.371  0.613 x2
As  0.240  0.566  0.554 x2
As  0.367  0.152  0.678 x2
Se  0.010  0.466  0.478 x2
Se  0.193  0.301  0.282 x2
Se  0.197  0.253  0.730 x2
Se  0.286  0.814  0.275 x2
Se  0.291  0.696  0.140 x2
Se  0.310  0.175  0.359 x2
Se  0.404  0.430  0.945 x2
Se  0.414  0.561  0.900 x2
Se  0.481  0.498  0.502 x2

***

3.
The following is a simulated PXRD pattern of CsSiAs2. It was derived from a structure optimized by DFT (GGA-PBE), using Cu Kα (weighted mean of Kα1 and Kα2).
Intensities are scaled so that the largest is 100.

Peak list (12 most intense, 2θ = 10–90°, by intensity)
| 2θ/deg | intensity | (hkl) |
| --- | --- | --- |
| 22.97 | 100 | 1 3 1 |
| 28.11 | 95 | 0 2 3 |
| 30.95 | 70 | 1 5 1 |
| 32.53 | 65 | 2 2 1 |
| 20.46 | 33 | 0 4 0 |
| 23.34 | 32 | 1 1 2 |
| 43.20 | 32 | 1 7 2 |
| 34.43 | 32 | 2 0 2 |
| 46.50 | 31 | 2 0 4 |
| 27.54 | 29 | 1 3 2 |
| 51.83 | 26 | 2 8 0 |
| 29.51 | 22 | 2 0 0 |

Atomic structure:
abc: 6.053 17.365 10.231
angles: 90.00 90.00 90.00
Space group Cmce (No. 64)
One atom of each set of equivalent atoms:
Cs  0.000  0.182  0.079 x8
Si  0.000  0.053  0.615 x8
As  0.000  0.082  0.389 x8
As  0.250  0.129  0.750 x8

***

4.
The following is a simulated PXRD pattern of CsZnSiAs2. It was derived from a structure optimized by DFT (GGA-PBE), using Cu Kα (weighted mean of Kα1 and Kα2).
Intensities are scaled so that the largest is 100.

Peak list (12 most intense, 2θ = 10–90°, by intensity)
| 2θ/deg | intensity | (hkl) |
| --- | --- | --- |
| 26.82 | 100 | 1 3 1 |
| 28.85 | 29 | 2 0 0 |
| 46.06 | 18 | 0 6 2 |
| 49.89 | 18 | 3 3 1 |
| 29.67 | 16 | 0 2 2 |
| 55.27 | 15 | 2 6 2 |
| 47.63 | 13 | 1 3 3 |
| 60.09 | 11 | 1 9 1 |
| 39.95 | 10 | 2 0 2 |
| 40.44 | 8 | 2 4 1 |
| 27.03 | 8 | 0 0 2 |
| 47.23 | 7 | 2 6 0 |

Atomic structure:
abc: 6.190 14.743 6.597
angles: 90.00 90.00 90.00
Space group Cmme (No. 67)
One atom of each set of equivalent atoms:
Cs  0.000  0.250  0.240 x4
Zn  0.000  0.000  0.000 x4
Si  0.250  0.000  0.500 x4
As  0.000  0.092  0.703 x8

***

5.
The following is a simulated PXRD pattern of CsSn2As2. It was derived from a structure optimized by DFT (GGA-PBE), using Cu Kα (weighted mean of Kα1 and Kα2).
Intensities are scaled so that the largest is 100.

Peak list (12 most intense, 2θ = 10–90°, by intensity)
| 2θ/deg | intensity | (hkl) |
| --- | --- | --- |
| 27.90 | 100 | 2 1 1 |
| 44.66 | 41 | 2 1 5 |
| 27.73 | 39 | 0 0 4 |
| 34.31 | 37 | 2 2 0 |
| 57.56 | 32 | 4 0 4 |
| 49.37 | 24 | 4 0 0 |
| 44.83 | 21 | 3 2 1 |
| 21.93 | 17 | 1 1 2 |
| 79.20 | 14 | 4 4 4 |
| 13.83 | 13 | 1 0 1 |
| 49.13 | 11 | 2 0 6 |
| 37.03 | 11 | 2 0 4 |

Atomic structure:
abc: 7.381 7.381 12.869
angles: 90.00 90.00 90.00
Space group I4_1md (No. 109)
One atom of each set of equivalent atoms:
Cs  0.000  0.000  0.000 x4
Sn  0.000  0.239  0.532 x8
As  0.000  0.220  0.742 x8

***

6.
The following is a simulated PXRD pattern of Cs4Tl2SnAs2. It was derived from a structure optimized by DFT (GGA-PBE), using Cu Kα (weighted mean of Kα1 and Kα2).
Intensities are scaled so that the largest is 100.

Peak list (12 most intense, 2θ = 10–90°, by intensity)
| 2θ/deg | intensity | (hkl) |
| --- | --- | --- |
| 26.34 | 100 | 2 2 -2 |
| 26.62 | 92 | 1 3 0 |
| 26.14 | 64 | 2 2 0 |
| 21.96 | 54 | 1 1 -2 |
| 49.12 | 35 | 5 3 -3 |
| 29.62 | 35 | 2 0 1 |
| 29.85 | 32 | 0 2 2 |
| 32.95 | 30 | 0 4 0 |
| 26.44 | 28 | 3 1 -1 |
| 13.01 | 28 | 1 1 0 |
| 35.27 | 26 | 4 0 -3 |
| 12.35 | 26 | 0 0 1 |

Atomic structure:
abc: 10.944 10.875 8.965
angles: 90.00 126.90 90.00
Space group C2/m (No. 12)
One atom of each set of equivalent atoms:
Cs  0.032  0.202  0.256 x8
Tl  0.174  0.500  0.116 x4
Sn  0.000  0.500  0.500 x2
As  0.235  0.500  0.856 x4

***

7.
The following is a simulated PXRD pattern of CsSrV2As. It was derived from a structure optimized by DFT (GGA-PBE), using Cu Kα (weighted mean of Kα1 and Kα2).
Intensities are scaled so that the largest is 100.

Peak list (12 most intense, 2θ = 10–90°, by intensity)
| 2θ/deg | intensity | (hkl) |
| --- | --- | --- |
| 36.14 | 100 | 2 0 0 |
| 47.47 | 90 | 2 0 2 |
| 29.72 | 85 | 0 0 2 |
| 17.85 | 74 | 1 0 0 |
| 25.34 | 61 | 1 1 0 |
| 23.22 | 58 | 1 0 1 |
| 29.44 | 42 | 1 1 1 |
| 61.08 | 41 | 2 2 2 |
| 39.45 | 38 | 1 1 2 |
| 52.04 | 34 | 2 2 0 |
| 34.88 | 28 | 1 0 2 |
| 73.66 | 24 | 2 0 4 |

Atomic structure:
abc: 4.970 4.970 6.012
angles: 90.00 90.00 90.00
Space group P4/mmm (No. 123)
One atom of each set of equivalent atoms:
Cs  0.000  0.000  0.000 x1
Sr  0.000  0.000  0.500 x1
V  0.000  0.500  0.000 x2
As  0.500  0.500  0.500 x1

***

8.
The following is a simulated PXRD pattern of CsTc3As. It was derived from a structure optimized by DFT (GGA-PBE), using Cu Kα (weighted mean of Kα1 and Kα2).
Intensities are scaled so that the largest is 100.

Peak list (12 most intense, 2θ = 10–90°, by intensity)
| 2θ/deg | intensity | (hkl) |
| --- | --- | --- |
| 37.35 | 100 | 2 0 0 |
| 32.20 | 97 | 1 1 1 |
| 53.86 | 68 | 2 2 0 |
| 64.15 | 39 | 3 1 1 |
| 67.38 | 23 | 2 2 2 |
| 26.18 | 22 | 1 1 0 |
| 88.52 | 16 | 3 3 1 |
| 79.65 | 11 | 4 0 0 |
| 46.18 | 9 | 2 1 1 |
| 18.43 | 6 | 1 0 0 |
| 73.61 | 5 | 3 2 1 |
| 60.84 | 4 | 3 1 0 |

Atomic structure:
abc: 4.815 4.815 4.815
angles: 90.00 90.00 90.00
Space group Pm-3m (No. 221)
One atom of each set of equivalent atoms:
Cs  0.000  0.000  0.000 x1
Tc  0.000  0.500  0.500 x3
As  0.500  0.500  0.500 x1